The following is a computed X-ray powder pattern of LiMnS2O8. It was derived from a DFT-relaxed cell (GGA+U, the Materials Project), using Cu Ka.

The 8 most intense peaks (2θ from 10° to 90°), in order of rising 2θ:
| two_theta | d/Å | intensity |
| --- | --- | --- |
| 14.23 | 6.224 | 44.1 |
| 14.52 | 6.100 | 72.8 |
| 19.41 | 4.574 | 25.1 |
| 19.92 | 4.458 | 43.2 |
| 23.59 | 3.772 | 65.9 |
| 24.14 | 3.687 | 48.9 |
| 24.48 | 3.636 | 100.0 |
| 32.04 | 2.793 | 37.8 |

Cell and atoms:
a b c (Å): 8.3128 8.3680 8.9580
angles (deg): 90.12 117.46 118.37
Space group P1 (No. 1)
Unique sites:
Li 0.0000 0.0000 0.0000 (multiplicity 1)
Li 0.2912 0.0106 0.9071 (multiplicity 1)
Li 0.6328 0.3999 0.0072 (multiplicity 1)
Mn 0.3051 0.5415 0.4385 (multiplicity 1)
Mn 0.8937 0.3370 0.8201 (multiplicity 1)
Mn 0.8936 0.8427 0.3218 (multiplicity 1)
S 0.0826 0.7175 0.1213 (multiplicity 1)
S 0.0958 0.6496 0.6141 (multiplicity 1)
S 0.3622 0.4265 0.1172 (multiplicity 1)
S 0.4028 0.2398 0.6293 (multiplicity 1)
S 0.7988 0.9364 0.6260 (multiplicity 1)
S 0.8103 0.1430 0.1282 (multiplicity 1)
O 0.0034 0.2834 0.2925 (multiplicity 1)
O 0.1944 0.5488 0.5862 (multiplicity 1)
O 0.2017 0.6935 0.2923 (multiplicity 1)
O 0.2062 0.4671 0.9766 (multiplicity 1)
O 0.2132 0.0881 0.4697 (multiplicity 1)
O 0.2194 0.8359 0.0603 (multiplicity 1)
O 0.2624 0.8317 0.7429 (multiplicity 1)
O 0.2830 0.2247 0.0798 (multiplicity 1)
O 0.3740 0.2326 0.7796 (multiplicity 1)
O 0.4057 0.5010 0.2917 (multiplicity 1)
O 0.4651 0.4307 0.6002 (multiplicity 1)
O 0.5675 0.5388 0.1233 (multiplicity 1)
O 0.5833 0.2117 0.6655 (multiplicity 1)
O 0.5838 0.8180 0.6005 (multiplicity 1)
O 0.6339 0.1728 0.0737 (multiplicity 1)
O 0.7412 0.9477 0.1521 (multiplicity 1)
O 0.7790 0.8793 0.4563 (multiplicity 1)
O 0.8611 0.1465 0.9860 (multiplicity 1)
O 0.8690 0.1401 0.6568 (multiplicity 1)
O 0.8986 0.5261 0.9889 (multiplicity 1)
O 0.9419 0.5187 0.6604 (multiplicity 1)
O 0.9556 0.9097 0.7722 (multiplicity 1)
O 0.9629 0.6668 0.4368 (multiplicity 1)
O 0.9721 0.8115 0.1425 (multiplicity 1)